Simulated powder diffraction line list
Compound: VBiRhO6
Radiation: copper Kα
Structure: a cell relaxed with GGA+U
No peak broadening, texture or thermal motion is included.

Structure:
```
VBiRhO6
1.0
5.173 0.000 0.000
-2.587 4.480 0.000
0.000 0.000 4.949
V Bi Rh O
1 1 1 6
Cartesian
0.000 0.000 0.000 V
0.000 2.987 2.474 Bi
2.587 1.493 0.000 Rh
1.579 0.125 1.066 O
0.898 1.305 3.882 O
3.594 0.125 3.882 O
1.905 3.050 1.066 O
4.275 1.305 1.066 O
3.268 3.050 3.882 O
```

Main lines, sorted by position (2θ from 10° to 90°):
hkl 1 0 0, 2θ = 19.82°, rel. 17
hkl 1 0 1, 2θ = 26.84°, rel. 100
hkl 1 1 0, 2θ = 34.68°, rel. 30
hkl 2 0 1, 2θ = 44.39°, rel. 25
hkl 2 -1 2, 2θ = 51.08°, rel. 33
hkl 3 -1 1, 2θ = 57.52°, rel. 24
hkl 1 0 3, 2θ = 59.74°, rel. 10
hkl 3 0 0, 2θ = 62.16°, rel. 10
hkl 3 1 1, 2θ = 79.54°, rel. 10
hkl 2 1 3, 2θ = 81.45°, rel. 9